For Li2Cr3NiO8, a DFT-relaxed cell (PBE+U, the Materials Project) gives the computed XRD peak list in this record (copper Kα).

Most intense lines, 5° ≤ 2θ ≤ 70°, low angle first:
- hkl 0 0 3, 2θ 18.27, intensity 1000
- hkl 0 1 2, 2θ 21.36, intensity 578
- hkl 1 0 4, 2θ 30.22, intensity 551
- hkl 1 1 3, 2θ 35.84, intensity 624
- hkl 0 2 1, 2θ 35.99, intensity 916
- hkl 0 2 4, 2θ 43.52, intensity 577

Atomic structure:
```
data_Li2Cr3NiO8
_cell_length_a 5.8495
_cell_length_b 5.8495
_cell_length_c 14.5702
_cell_angle_alpha 90.00
_cell_angle_beta 90.00
_cell_angle_gamma 120.00
_symmetry_space_group_name_H-M 'R 3 m'
_symmetry_Int_Tables_number 160
_symmetry_space_group_name_Hall 'R 3 -2"'
loop_
_atom_site_label
_atom_site_fract_x
_atom_site_fract_y
_atom_site_fract_z
Li1 0.0000 0.0000 0.0000
Li2 0.0000 0.0000 0.3773
Cr1 0.0050 0.5025 0.8776
Ni1 0.0000 0.0000 0.7552
O1 0.0000 0.0000 0.1368
O2 0.0000 0.0000 0.6171
O3 0.0258 0.5129 0.1393
O4 0.1804 0.3609 0.9459
```

For Li2Cr3NiO8, a DFT-relaxed cell (PBE+U, the Materials Project) gives the computed XRD peak list in this record (copper Kα).

Most intense lines, 5° ≤ 2θ ≤ 70°, low angle first:
- hkl 0 0 2, 2θ 18.41, intensity 628
- hkl 1 0 1, 2θ 19.86, intensity 1000
- hkl 1 1 2, 2θ 36.02, intensity 640
- hkl 2 0 1, 2θ 36.82, intensity 453
- hkl 2 0 3, 2θ 45.72, intensity 533
- hkl 2 0 5, 2θ 60.44, intensity 469

Atomic structure:
```
data_Li2Cr3NiO8
_cell_length_a 5.8280
_cell_length_b 5.8280
_cell_length_c 9.6361
_cell_angle_alpha 90.00
_cell_angle_beta 90.00
_cell_angle_gamma 120.00
_symmetry_space_group_name_H-M 'P 63 m c'
_symmetry_Int_Tables_number 186
_symmetry_space_group_name_Hall 'P 6c -2c'
loop_
_atom_site_label
_atom_site_fract_x
_atom_site_fract_y
_atom_site_fract_z
Li1 0.0000 0.0000 0.0000
Li2 0.3333 0.6667 0.3957
Cr1 0.1686 0.3372 0.7159
Ni1 0.3333 0.6667 0.9921
O1 0.0000 0.0000 0.3174
O2 0.0383 0.5191 0.8295
O3 0.1597 0.3193 0.1124
O4 0.3333 0.6667 0.6048
```

For Li2Cr2NiO6, a DFT-relaxed cell (PBE+U, the Materials Project) gives the computed XRD peak list in this record (copper Kα).

Most intense lines, 5° ≤ 2θ ≤ 70°, low angle first:
- hkl 2 0 -1, 2θ 18.15, intensity 1000
- hkl 4 0 1, 2θ 35.71, intensity 128
- hkl 1 3 1, 2θ 36.01, intensity 225
- hkl 6 0 0, 2θ 43.06, intensity 209
- hkl 1 3 -2, 2θ 43.51, intensity 402
- hkl 5 3 2, 2θ 63.34, intensity 110

Atomic structure:
```
data_Li2Cr2NiO6
_cell_length_a 13.0059
_cell_length_b 8.7564
_cell_length_c 5.9303
_cell_angle_alpha 90.00
_cell_angle_beta 104.26
_cell_angle_gamma 90.00
_symmetry_space_group_name_H-M 'C 1 2/m 1'
_symmetry_Int_Tables_number 12
loop_
_symmetry_equiv_pos_as_xyz
'x,y,z'
'-x,-y,-z'
'-x,y,-z'
'x,-y,z'
'x+1/2,y+1/2,z'
'-x+1/2,-y+1/2,-z'
'-x+1/2,y+1/2,-z'
'x+1/2,-y+1/2,z'
loop_
_atom_site_label
_atom_site_fract_x
_atom_site_fract_y
_atom_site_fract_z
Li1 0.0000 0.1651 0.0000
Li2 0.1613 0.3275 0.3320
Cr1 0.1661 0.3316 0.8260
Cr2 0.1714 0.0000 0.8238
Ni1 0.0000 0.1617 0.5000
Ni2 0.0000 0.5000 0.5000
O1 0.0093 0.3188 0.7253
O2 0.0135 0.0000 0.7251
O3 0.1489 0.5000 0.5859
O4 0.1711 0.1745 0.6094
O5 0.1712 0.5000 0.0505
O6 0.1747 0.1697 0.0591
```

For Li2Cr3NiO8, a DFT-relaxed cell (PBE+U, the Materials Project) gives the computed XRD peak list in this record (copper Kα).

Most intense lines, 5° ≤ 2θ ≤ 70°, low angle first:
- hkl 1 1 1, 2θ 18.42, intensity 1000
- hkl 3 1 1, 2θ 35.70, intensity 471
- hkl 0 0 4, 2θ 43.31, intensity 183
- hkl 0 4 0, 2θ 43.43, intensity 365
- hkl 5 1 1, 2θ 57.45, intensity 138
- hkl 0 4 4, 2θ 63.01, intensity 213

Atomic structure:
```
data_Li2Cr3NiO8
_cell_length_a 8.3359
_cell_length_b 8.3317
_cell_length_c 8.3570
_cell_angle_alpha 90.00
_cell_angle_beta 90.01
_cell_angle_gamma 90.00
_symmetry_space_group_name_H-M 'P 1 21 1'
_symmetry_Int_Tables_number 4
loop_
_symmetry_equiv_pos_as_xyz
'x,y,z'
'-x,y+1/2,-z'
loop_
_atom_site_label
_atom_site_fract_x
_atom_site_fract_y
_atom_site_fract_z
Li1 0.0019 0.0000 0.2500
Li2 0.2500 0.2492 0.5011
Li3 0.2515 0.7473 0.9983
Li4 0.4978 0.4980 0.2492
Cr1 0.1187 0.6195 0.3733
Cr2 0.1207 0.3707 0.1280
Cr3 0.1273 0.8692 0.6177
Cr4 0.3685 0.3692 0.8776
Cr5 0.3729 0.6194 0.6213
Cr6 0.3775 0.1197 0.1317
Ni1 0.1247 0.1238 0.8746
Ni2 0.3748 0.8738 0.3744
O1 0.1040 0.8758 0.8568
O2 0.1063 0.3821 0.3661
O3 0.1073 0.1084 0.6301
O4 0.1298 0.8583 0.3930
O5 0.1328 0.6029 0.1481
O6 0.1343 0.6318 0.6058
O7 0.1390 0.1394 0.1160
O8 0.1422 0.3736 0.8904
O9 0.3531 0.8526 0.6318
O10 0.3574 0.6265 0.3968
O11 0.3578 0.3570 0.1157
O12 0.3778 0.1459 0.8935
O13 0.3842 0.3890 0.6393
O14 0.3841 0.6071 0.8572
O15 0.3894 0.1225 0.3568
O16 0.3936 0.8959 0.1217
```

For Li4Cr2Ni5O12, a DFT-relaxed cell (PBE+U, the Materials Project) gives the computed XRD peak list in this record (copper Kα).

Most intense lines, 5° ≤ 2θ ≤ 70°, low angle first:
- hkl 0 0 2, 2θ 18.53, intensity 417
- hkl 1 1 1, 2θ 24.09, intensity 294
- hkl 0 0 4, 2θ 37.60, intensity 381
- hkl 1 3 -3, 2θ 43.40, intensity 1000
- hkl 2 0 2, 2θ 44.61, intensity 444
- hkl 3 3 -1, 2θ 64.29, intensity 255

Atomic structure:
```
data_Li4Cr2Ni5O12
_cell_length_a 4.9860
_cell_length_b 8.8749
_cell_length_c 9.7495
_cell_angle_alpha 90.00
_cell_angle_beta 100.80
_cell_angle_gamma 90.00
_symmetry_space_group_name_H-M 'P 1 21 1'
_symmetry_Int_Tables_number 4
loop_
_symmetry_equiv_pos_as_xyz
'x,y,z'
'-x,y+1/2,-z'
loop_
_atom_site_label
_atom_site_fract_x
_atom_site_fract_y
_atom_site_fract_z
Li1 0.0027 0.0000 0.2568
Li2 0.2402 0.1610 0.5018
Li3 0.4954 0.0067 0.7464
Li4 0.4954 0.6580 0.7462
Cr1 0.2490 0.3312 0.9964
Cr2 0.2566 0.8228 0.4995
Ni1 0.0079 0.3308 0.2539
Ni2 0.2450 0.6633 0.0005
Ni3 0.2469 0.4987 0.4987
Ni4 0.2489 0.9988 0.9969
Ni5 0.4929 0.3254 0.7461
O1 0.1108 0.9781 0.6116
O2 0.1175 0.3469 0.6095
O3 0.1197 0.1702 0.1159
O4 0.1284 0.6722 0.6193
O5 0.1313 0.8352 0.1138
O6 0.1364 0.4839 0.1155
O7 0.3662 0.6711 0.3907
O8 0.3681 0.4904 0.8808
O9 0.3723 0.8312 0.8830
O10 0.3940 0.1702 0.8866
O11 0.3956 0.9828 0.3832
O12 0.3990 0.3401 0.3789
```

> Which formula does entry 5 have?

Li4Cr2Ni5O12